# 1
Starting from a GGA-PBE-relaxed structure, the PXRD pattern of ErTmTh2Sb5 was calculated for Cu Kα.

Atomic structure:
```
data_ErTmTh2Sb5
_cell_length_a 5.2222
_cell_length_b 5.2222
_cell_length_c 11.4142
_cell_angle_alpha 90.00
_cell_angle_beta 90.00
_cell_angle_gamma 90.00
_symmetry_space_group_name_H-M 'P 4/m m m'
_symmetry_Int_Tables_number 123
_symmetry_space_group_name_Hall '-P 4 2'
loop_
_atom_site_label
_atom_site_type_symbol
_atom_site_fract_x
_atom_site_fract_y
_atom_site_fract_z
Er1 Er 0.0000 0.0000 0.0000
Tm1 Tm 0.0000 0.0000 0.5000
Th1 Th 0.5000 0.5000 0.2987
Sb1 Sb 0.0000 0.0000 0.2473
Sb2 Sb 0.0000 0.5000 0.5000
Sb3 Sb 0.5000 0.5000 0.0000
```

The 10 most intense peaks (10 to 90 degrees two-theta), sorted by position:
(1 0 2), 2θ = 23.1°, rel. 30
(1 1 0), 2θ = 24.1°, rel. 100
(1 1 2), 2θ = 28.8°, rel. 25
(1 0 3), 2θ = 29.0°, rel. 37
(0 0 4), 2θ = 31.3°, rel. 38
(1 1 3), 2θ = 33.8°, rel. 52
(2 0 0), 2θ = 34.3°, rel. 96
(1 1 4), 2θ = 39.9°, rel. 24
(2 0 4), 2θ = 47.2°, rel. 49
(2 2 0), 2θ = 49.4°, rel. 35

***

# 2
Starting from a GGA-PBE-relaxed structure, the PXRD pattern of ErTh2ZrSb5 was calculated for Cu Kα.

Atomic structure:
```
data_ErTh2ZrSb5
_cell_length_a 5.2460
_cell_length_b 5.2460
_cell_length_c 11.1733
_cell_angle_alpha 90.00
_cell_angle_beta 90.00
_cell_angle_gamma 90.00
_symmetry_space_group_name_H-M 'P 4/m m m'
_symmetry_Int_Tables_number 123
_symmetry_space_group_name_Hall '-P 4 2'
loop_
_atom_site_label
_atom_site_type_symbol
_atom_site_fract_x
_atom_site_fract_y
_atom_site_fract_z
Er1 Er 0.0000 0.0000 0.0000
Th1 Th 0.5000 0.5000 0.1970
Zr1 Zr 0.0000 0.0000 0.5000
Sb1 Sb 0.0000 0.0000 0.2581
Sb2 Sb 0.0000 0.5000 0.0000
Sb3 Sb 0.5000 0.5000 0.5000
```

The 10 most intense peaks (10 to 90 degrees two-theta), sorted by position:
(1 1 0), 2θ = 24.0°, rel. 68
(1 1 2), 2θ = 28.9°, rel. 25
(1 0 3), 2θ = 29.4°, rel. 43
(0 0 4), 2θ = 32.0°, rel. 22
(2 0 0), 2θ = 34.2°, rel. 100
(0 0 5), 2θ = 40.4°, rel. 16
(2 1 3), 2θ = 45.7°, rel. 26
(2 0 4), 2θ = 47.6°, rel. 29
(2 2 0), 2θ = 49.1°, rel. 25
(2 2 4), 2θ = 59.9°, rel. 14

***

# 3
Starting from a GGA-PBE-relaxed structure, the PXRD pattern of Er6TlSb3 was calculated for Cu Kα.

Atomic structure:
```
data_Er6TlSb3
_cell_length_a 11.5897
_cell_length_b 11.3974
_cell_length_c 8.3733
_cell_angle_alpha 90.00
_cell_angle_beta 90.00
_cell_angle_gamma 90.00
_symmetry_space_group_name_H-M 'C m c m'
_symmetry_Int_Tables_number 63
_symmetry_space_group_name_Hall '-C 2c 2'
loop_
_atom_site_label
_atom_site_type_symbol
_atom_site_fract_x
_atom_site_fract_y
_atom_site_fract_z
Er1 Er 0.0000 0.1583 0.0002
Er2 Er 0.1587 0.5000 0.0000
Er3 Er 0.2505 0.2476 0.2500
Tl1 Tl 0.0000 0.3530 0.7500
Sb1 Sb 0.0000 0.3577 0.2500
Sb2 Sb 0.1462 0.0023 0.7500
```

The 10 most intense peaks (10 to 90 degrees two-theta), sorted by position:
(2 2 2), 2θ = 30.7°, rel. 28
(3 1 2), 2θ = 32.5°, rel. 98
(1 3 2), 2θ = 32.8°, rel. 100
(4 2 0), 2θ = 34.7°, rel. 45
(2 4 0), 2θ = 35.1°, rel. 49
(0 0 4), 2θ = 43.2°, rel. 31
(4 2 4), 2θ = 56.6°, rel. 22
(2 4 4), 2θ = 56.8°, rel. 25
(7 3 2), 2θ = 65.4°, rel. 19
(3 7 2), 2θ = 66.2°, rel. 19

***

# 4
Starting from a GGA-PBE-relaxed structure, the PXRD pattern of Er2TlSb was calculated for Cu Kα.

Atomic structure:
```
data_Er2TlSb
_cell_length_a 8.2026
_cell_length_b 4.0475
_cell_length_c 14.1135
_cell_angle_alpha 90.00
_cell_angle_beta 90.00
_cell_angle_gamma 90.00
_symmetry_space_group_name_H-M 'P n m a'
_symmetry_Int_Tables_number 62
loop_
_symmetry_equiv_pos_as_xyz
'x,y,z'
'-x,-y,-z'
'-x+1/2,-y,z+1/2'
'x+1/2,y,-z+1/2'
'x+1/2,-y+1/2,-z+1/2'
'-x+1/2,y+1/2,z+1/2'
'-x,y+1/2,-z'
'x,-y+1/2,z'
loop_
_atom_site_label
_atom_site_type_symbol
_atom_site_fract_x
_atom_site_fract_y
_atom_site_fract_z
Er1 Er 0.1885 0.2500 0.0074
Er2 Er 0.1901 0.7500 0.7628
Tl1 Tl 0.0436 0.2500 0.4152
Sb1 Sb 0.0669 0.7500 0.1587
```

The 10 most intense peaks (10 to 90 degrees two-theta), sorted by position:
(0 1 1), 2θ = 22.9°, rel. 18
(1 1 2), 2θ = 27.6°, rel. 51
(2 0 3), 2θ = 28.9°, rel. 21
(1 1 3), 2θ = 31.1°, rel. 33
(2 0 4), 2θ = 33.6°, rel. 100
(2 1 3), 2θ = 36.6°, rel. 25
(0 1 5), 2θ = 38.9°, rel. 25
(0 2 0), 2θ = 44.8°, rel. 23
(2 2 4), 2θ = 57.0°, rel. 22
(4 1 6), 2θ = 64.5°, rel. 26

***

# 5
Starting from a GGA-PBE-relaxed structure, the PXRD pattern of Er4Tl2Sb was calculated for Cu Kα.

Atomic structure:
```
data_Er4Tl2Sb
_cell_length_a 9.2164
_cell_length_b 9.2164
_cell_length_c 9.2519
_cell_angle_alpha 90.00
_cell_angle_beta 90.00
_cell_angle_gamma 90.00
_symmetry_space_group_name_H-M 'I -4 2 d'
_symmetry_Int_Tables_number 122
_symmetry_space_group_name_Hall 'I -4 2bw'
loop_
_atom_site_label
_atom_site_type_symbol
_atom_site_fract_x
_atom_site_fract_y
_atom_site_fract_z
Er1 Er 0.0726 0.1794 0.3037
Tl1 Tl 0.1231 0.2500 0.6250
Sb1 Sb 0.0000 0.0000 0.0000
```

The 10 most intense peaks (10 to 90 degrees two-theta), sorted by position:
(1 0 3), 2θ = 30.6°, rel. 92
(3 1 0), 2θ = 30.7°, rel. 58
(2 1 3), 2θ = 36.4°, rel. 100
(4 0 2), 2θ = 43.9°, rel. 15
(3 2 3), 2θ = 46.1°, rel. 16
(4 2 2), 2θ = 48.3°, rel. 22
(4 1 3), 2θ = 50.5°, rel. 20
(6 1 1), 2θ = 62.1°, rel. 28
(5 1 4), 2θ = 65.5°, rel. 14
(7 1 2), 2θ = 75.8°, rel. 14

***

# 6
Starting from a GGA-PBE-relaxed structure, the PXRD pattern of Er10Tl3Sb3 was calculated for Cu Kα.

Atomic structure:
```
data_Er10Tl3Sb3
_cell_length_a 8.8770
_cell_length_b 8.8770
_cell_length_c 6.4949
_cell_angle_alpha 90.00
_cell_angle_beta 90.00
_cell_angle_gamma 120.00
_symmetry_space_group_name_H-M 'P -6 2 m'
_symmetry_Int_Tables_number 189
_symmetry_space_group_name_Hall 'P -6 -2'
loop_
_atom_site_label
_atom_site_type_symbol
_atom_site_fract_x
_atom_site_fract_y
_atom_site_fract_z
Er1 Er 0.0000 0.2363 0.0000
Er2 Er 0.0000 0.7632 0.5000
Er3 Er 0.3333 0.6667 0.2476
Tl1 Tl 0.0000 0.6054 0.0000
Sb1 Sb 0.0000 0.3948 0.5000
```

The 10 most intense peaks (10 to 90 degrees two-theta), sorted by position:
(0 0 2), 2θ = 27.5°, rel. 19
(1 0 2), 2θ = 29.9°, rel. 16
(2 1 0), 2θ = 30.8°, rel. 30
(2 1 1), 2θ = 33.8°, rel. 100
(1 1 2), 2θ = 34.2°, rel. 73
(3 0 0), 2θ = 35.0°, rel. 36
(2 2 2), 2θ = 49.8°, rel. 18
(2 1 3), 2θ = 52.7°, rel. 29
(0 0 4), 2θ = 56.7°, rel. 11
(5 0 2), 2θ = 67.4°, rel. 20

***

# 7
Starting from a GGA-PBE-relaxed structure, the PXRD pattern of Er6Tl5Sb was calculated for Cu Kα.

Atomic structure:
```
data_Er6Tl5Sb
_cell_length_a 5.1545
_cell_length_b 15.5667
_cell_length_c 8.0152
_cell_angle_alpha 90.00
_cell_angle_beta 90.24
_cell_angle_gamma 90.00
_symmetry_space_group_name_H-M 'C 1 2/m 1'
_symmetry_Int_Tables_number 12
loop_
_symmetry_equiv_pos_as_xyz
'x,y,z'
'-x,-y,-z'
'-x,y,-z'
'x,-y,z'
'x+1/2,y+1/2,z'
'-x+1/2,-y+1/2,-z'
'-x+1/2,y+1/2,-z'
'x+1/2,-y+1/2,z'
loop_
_atom_site_label
_atom_site_type_symbol
_atom_site_fract_x
_atom_site_fract_y
_atom_site_fract_z
Er1 Er 0.9998 0.0000 0.2420
Er2 Er 0.0005 0.3373 0.7482
Tl1 Tl 0.0000 0.1665 0.5000
Tl2 Tl 0.0000 0.1754 0.0000
Tl3 Tl 0.0000 0.5000 0.5000
Sb1 Sb 0.0000 0.5000 0.0000
```

The 10 most intense peaks (10 to 90 degrees two-theta), sorted by position:
(1 3 2), 2θ = 33.2°, rel. 100
(0 6 0), 2θ = 34.6°, rel. 22
(2 0 0), 2θ = 34.8°, rel. 22
(0 0 4), 2θ = 45.3°, rel. 11
(2 6 0), 2θ = 49.9°, rel. 16
(2 0 -4), 2θ = 58.2°, rel. 15
(1 9 2), 2θ = 61.1°, rel. 17
(3 3 -2), 2θ = 61.3°, rel. 9
(3 3 2), 2θ = 61.5°, rel. 9
(2 6 -4), 2θ = 69.5°, rel. 6

***

# 8
Starting from a GGA-PBE-relaxed structure, the PXRD pattern of ErTmSb was calculated for Cu Kα.

Atomic structure:
```
data_ErTmSb
_cell_length_a 3.9182
_cell_length_b 3.9182
_cell_length_c 10.6123
_cell_angle_alpha 90.00
_cell_angle_beta 90.00
_cell_angle_gamma 90.00
_symmetry_space_group_name_H-M 'I 4 m m'
_symmetry_Int_Tables_number 107
_symmetry_space_group_name_Hall 'I 4 -2'
loop_
_atom_site_label
_atom_site_type_symbol
_atom_site_fract_x
_atom_site_fract_y
_atom_site_fract_z
Er1 Er 0.0000 0.0000 0.0000
Tm1 Tm 0.0000 0.0000 0.3096
Sb1 Sb 0.0000 0.0000 0.6558
```

The 10 most intense peaks (10 to 90 degrees two-theta), sorted by position:
(1 1 0), 2θ = 32.3°, rel. 60
(1 0 3), 2θ = 34.1°, rel. 100
(2 0 0), 2θ = 46.3°, rel. 22
(0 0 6), 2θ = 51.7°, rel. 7
(2 1 3), 2θ = 58.8°, rel. 42
(1 1 6), 2θ = 62.3°, rel. 16
(2 2 0), 2θ = 67.6°, rel. 7
(2 0 6), 2θ = 71.9°, rel. 10
(3 1 0), 2θ = 77.0°, rel. 10
(3 0 3), 2θ = 78.0°, rel. 9